Computed X-ray diffraction stick pattern
Compound: Pu2Ga5Co4
Radiation: Cu Kα X-rays
Structure: the PBE geometry in Alexandria

Most intense lines, 2θ from 15° to 90°, by angle:
- 23.1 deg, d 3.844, rel. 23
- 26.4 deg, d 3.370, rel. 81
- 30.5 deg, d 2.932, rel. 77
- 34.9 deg, d 2.570, rel. 66
- 38.8 deg, d 2.323, rel. 100
- 40.3 deg, d 2.237, rel. 61
- 42.3 deg, d 2.138, rel. 75
- 47.3 deg, d 1.922, rel. 31
- 54.6 deg, d 1.679, rel. 29
- 63.9 deg, d 1.458, rel. 26

Atomic structure:
```
11
Lattice="0.0000 4.5336 7.6881 2.5719 0.0000 7.6881 2.5719 4.5336 0.0000" Properties=species:S:1:pos:R:3 pbc="T T T"
Pu 2.5719 4.5336 2.1247
Pu 2.5719 4.5336 13.2516
Ga 1.2859 2.2668 0.0000
Ga 1.2859 2.2668 3.8441
Ga 1.2859 2.2668 7.6881
Ga 2.5719 4.5336 7.6881
Ga 3.8578 6.8003 11.5322
Co 2.5719 3.1871 5.6909
Co 2.5719 3.1871 9.6853
Co 2.5719 5.8800 5.6909
Co 2.5719 5.8800 9.6853
```

Computed X-ray diffraction stick pattern
Compound: La6Zn5Pt
Radiation: Cu Kα X-rays
Structure: the PBE geometry in Alexandria

Most intense lines, 2θ from 15° to 90°, by angle:
- 17.6 deg, d 5.028, rel. 2
- 23.7 deg, d 3.750, rel. 3
- 33.9 deg, d 2.648, rel. 100
- 48.6 deg, d 1.875, rel. 12
- 48.8 deg, d 1.867, rel. 6
- 60.5 deg, d 1.530, rel. 24
- 60.7 deg, d 1.527, rel. 12
- 71.3 deg, d 1.323, rel. 7
- 81.1 deg, d 1.186, rel. 10
- 81.5 deg, d 1.181, rel. 5

Atomic structure:
```
12
Lattice="2.6496 -7.9600 0.0000 2.6496 7.9600 0.0000 0.0000 0.0000 7.4681" Properties=species:S:1:pos:R:3 pbc="T T T"
La 0.0000 0.0000 1.7959
La 0.0000 0.0000 5.6722
La 2.6496 2.5700 1.8501
La 2.6496 2.5700 5.6179
La 2.6496 -2.5700 1.8501
La 2.6496 -2.5700 5.6179
Zn 2.6496 5.2302 3.7340
Zn 2.6496 5.1303 0.0000
Zn 2.6496 0.0000 3.7340
Zn 2.6496 -5.1303 0.0000
Zn 2.6496 -5.2302 3.7340
Pt 2.6496 0.0000 0.0000
```